Entry 1:
This entry pairs a crystal structure of Ti4ZnGa3 with its computed X-ray powder pattern. Radiation: Cu Ka. Structure: a structure optimized by DFT (PBE).

The 6 most intense peaks (10 to 90 degrees two-theta), in order of falling intensity:
- 39.3°, intensity 1000, hkl 2 2 0
- 45.3°, intensity 326, hkl 2 0 4
- 67.0°, intensity 188, hkl 2 4 4
- 46.5°, intensity 151, hkl 0 4 0
- 79.6°, intensity 112, hkl 4 2 4
- 79.7°, intensity 111, hkl 2 2 8

Atomic structure:
```
data_Ti4ZnGa3
_cell_length_a 5.666
_cell_length_b 7.813
_cell_length_c 11.300
_cell_angle_alpha 90.00
_cell_angle_beta 90.00
_cell_angle_gamma 90.00
_symmetry_space_group_name_H-M 'F m m m'
_symmetry_Int_Tables_number 69
_symmetry_space_group_name_Hall '-F 2 2'
loop_
_atom_site_label
_atom_site_fract_x
_atom_site_fract_y
_atom_site_fract_z
Ti1 0.250 0.250 0.125
Zn1 0.000 0.000 0.000
Ga1 0.000 0.000 0.248
Ga2 0.000 0.000 0.500
```


Entry 2:
This entry pairs a crystal structure of Ti4Zn5Ga with its computed X-ray powder pattern. Radiation: Cu Ka. Structure: a structure optimized by DFT (PBE).

The 6 most intense peaks (10 to 90 degrees two-theta), in order of falling intensity:
- 39.4°, intensity 1000, hkl 1 1 -2
- 39.6°, intensity 999, hkl 5 1 0
- 44.5°, intensity 349, hkl 6 0 -2
- 46.1°, intensity 316, hkl 0 2 0
- 47.3°, intensity 289, hkl 4 0 2
- 80.9°, intensity 215, hkl 5 3 0

Atomic structure:
```
data_Ti4Zn5Ga
_cell_length_a 14.411
_cell_length_b 3.939
_cell_length_c 5.621
_cell_angle_alpha 90.00
_cell_angle_beta 104.54
_cell_angle_gamma 90.00
_symmetry_space_group_name_H-M 'C 1 2/m 1'
_symmetry_Int_Tables_number 12
loop_
_symmetry_equiv_pos_as_xyz
'x,y,z'
'-x,-y,-z'
'-x,y,-z'
'x,-y,z'
'x+1/2,y+1/2,z'
'-x+1/2,-y+1/2,-z'
'-x+1/2,y+1/2,-z'
'x+1/2,-y+1/2,z'
loop_
_atom_site_label
_atom_site_fract_x
_atom_site_fract_y
_atom_site_fract_z
Ti1 0.100 0.000 0.290
Ti2 0.202 0.500 0.101
Zn1 0.000 0.500 0.500
Zn2 0.100 0.000 0.788
Zn3 0.200 0.500 0.594
Ga1 0.000 0.500 0.000
```


Entry 3:
This entry pairs a crystal structure of Ti5ZnGa with its computed X-ray powder pattern. Radiation: Cu Ka. Structure: a structure optimized by DFT (PBE).

The 6 most intense peaks (10 to 90 degrees two-theta), in order of falling intensity:
- 41.7°, intensity 1000, hkl 2 4 1
- 39.3°, intensity 957, hkl 3 1 1
- 38.5°, intensity 713, hkl 1 5 0
- 40.1°, intensity 406, hkl 1 1 2
- 37.7°, intensity 370, hkl 0 0 2
- 45.5°, intensity 272, hkl 1 3 2

Atomic structure:
```
data_Ti5ZnGa
_cell_length_a 8.016
_cell_length_b 12.236
_cell_length_c 4.771
_cell_angle_alpha 90.00
_cell_angle_beta 90.00
_cell_angle_gamma 90.00
_symmetry_space_group_name_H-M 'C m c m'
_symmetry_Int_Tables_number 63
_symmetry_space_group_name_Hall '-C 2c 2'
loop_
_atom_site_label
_atom_site_fract_x
_atom_site_fract_y
_atom_site_fract_z
Ti1 0.000 0.208 0.250
Ti2 0.189 0.179 0.750
Ti3 0.193 0.411 0.750
Zn1 0.000 0.000 0.000
Ga1 0.000 0.416 0.250
```


Entry 4:
This entry pairs a crystal structure of Zr2Ti3Ga3 with its computed X-ray powder pattern. Radiation: Cu Ka. Structure: a structure optimized by DFT (PBE).

The 6 most intense peaks (10 to 90 degrees two-theta), in order of falling intensity:
- 39.7°, intensity 1000, hkl 1 1 2
- 38.6°, intensity 670, hkl 2 1 1
- 39.8°, intensity 649, hkl 3 0 0
- 13.0°, intensity 369, hkl 1 0 0
- 34.9°, intensity 302, hkl 2 1 0
- 57.5°, intensity 261, hkl 2 2 2

Atomic structure:
```
data_Zr2Ti3Ga3
_cell_length_a 7.8457
_cell_length_b 7.8457
_cell_length_c 5.5720
_cell_angle_alpha 90.00
_cell_angle_beta 90.00
_cell_angle_gamma 120.00
_symmetry_space_group_name_H-M 'P 63/m c m'
_symmetry_Int_Tables_number 193
_symmetry_space_group_name_Hall '-P 6c 2'
loop_
_atom_site_label
_atom_site_fract_x
_atom_site_fract_y
_atom_site_fract_z
Zr1 0.3333 0.6667 0.0000
Ti1 0.0000 0.2375 0.2500
Ga1 0.0000 0.3819 0.7500
```